This entry pairs a crystal structure of La5Rh3 with its theoretical powder diffraction line list. Radiation: Cu Kα (λ = 1.5418 Å). Structure: a cell relaxed with GGA-PBE.
No peak broadening, texture or thermal motion is included.

The 10 most intense peaks (2θ from 10° to 80°), low angle first:
2θ/deg, intensity, h k l
27.83, 30, 0 0 2
31.50, 78, 3 2 1
32.02, 59, 2 0 2
35.14, 61, 4 2 0
35.30, 100, 4 1 1
35.76, 42, 2 2 2
42.39, 24, 4 0 2
54.21, 29, 4 1 3
65.76, 20, 6 4 2
69.19, 25, 4 2 4

Structural model:
Unit cell a=11.422 b=11.422 c=6.411 alpha=90.00 beta=90.00 gamma=90.00
Space group I4/mcm (No. 140)
Symmetry-distinct sites (fractional):
La 0.000 0.500 0.250 (multiplicity 4)
La 0.087 0.210 0.000 (multiplicity 16)
Rh 0.000 0.000 0.250 (multiplicity 4)
Rh 0.156 0.344 0.500 (multiplicity 8)